Starting from a cell relaxed with GGA+U, the powder diffractogram of PaFeTe2O8 was calculated for Cu Kα (λ = 1.5418 Å).
No peak broadening, texture or thermal motion is included.

Crystal structure
Lattice parameters (Å, degrees): 6.3964 6.3964 5.8117 90.00 90.00 120.00
Space group P-3m1 (No. 164)
Symmetry-distinct sites (fractional):
Pa (0.0000, 0.0000, 0.0000)
Fe (0.0000, 0.0000, 0.5000)
Te (0.3333, 0.6667, 0.7025)
O (0.1453, 0.2907, 0.7448)
O (0.3333, 0.6667, 0.3917)

Top 10 peaks for 15° ≤ 2θ ≤ 90°, low angle first:
2θ = 16.00°, rel. 37; 2θ = 22.17°, rel. 100; 2θ = 27.90°, rel. 93; 2θ = 34.87°, rel. 47; 2θ = 35.92°, rel. 19; 2θ = 45.23°, rel. 33; 2θ = 46.08°, rel. 32; 2θ = 49.35°, rel. 19; 2θ = 53.98°, rel. 34; 2θ = 57.64°, rel. 16